Simulated PXRD pattern of Nb2Mo4Au3N3 for a wavelength of 1.5418 Å, from a crystal structure in OQMD, relaxed with PBE.
Neutral-atom scattering factors, no anomalous dispersion.

Crystal structure
```
data_Nb2Mo4Au3N3
_cell_length_a 9.5280
_cell_length_b 5.5249
_cell_length_c 13.4954
_cell_angle_alpha 90.00
_cell_angle_beta 103.43
_cell_angle_gamma 90.00
_space_group_name_H-M_alt 'C 1 2/c 1'
_space_group_IT_number 15
_space_group_name_Hall '-C 2yc'
loop_
_atom_site_label
_atom_site_type_symbol
_atom_site_fract_x
_atom_site_fract_y
_atom_site_fract_z
Nb1 Nb 0.0581 0.0883 0.4038
Mo1 Mo 0.1092 0.4274 0.5753
Mo2 Mo 0.2197 0.4115 0.9250
Au1 Au 0.0000 0.4664 0.2500
Au2 Au 0.1890 0.1071 0.7462
N1 N 0.0766 0.2317 0.0000
N2 N 0.2500 0.2500 0.5000
```

Main lines, by intensity (2θ = 15–90°):
(3 1 2), d 2.334, 2θ 38.57, I 100.0
(3 1 -4), d 2.328, 2θ 38.68, I 47.2
(0 0 6), d 2.188, 2θ 41.27, I 26.9
(3 1 -1), d 2.753, 2θ 32.52, I 22.1
(3 3 -1), d 1.593, 2θ 57.88, I 17.4
(3 3 5), d 1.288, 2θ 73.52, I 15.0
(3 1 5), d 1.715, 2θ 53.43, I 14.5
(3 1 8), d 1.290, 2θ 73.40, I 13.3
(0 2 0), d 2.762, 2θ 32.41, I 11.5
(6 0 4), d 1.287, 2θ 73.60, I 10.6
(0 0 4), d 3.282, 2θ 27.17, I 8.9
(6 0 -2), d 1.588, 2θ 58.09, I 8.7


Simulated PXRD pattern of Rb4Au for a wavelength of 1.5418 Å, from a crystal structure in OQMD, relaxed with PBE.
Neutral-atom scattering factors, no anomalous dispersion.

Crystal structure
```
data_Rb4Au
_cell_length_a 8.5344
_cell_length_b 10.0476
_cell_length_c 8.5362
_cell_angle_alpha 90.00
_cell_angle_beta 110.29
_cell_angle_gamma 90.00
_space_group_name_H-M_alt 'P 1 21/m 1'
_space_group_IT_number 11
_space_group_name_Hall '-P 2yb'
loop_
_atom_site_label
_atom_site_type_symbol
_atom_site_fract_x
_atom_site_fract_y
_atom_site_fract_z
Rb1 Rb 0.2436 0.9998 0.2445
Rb2 Rb 0.2471 0.2500 0.7552
Rb3 Rb 0.2488 0.7500 0.7506
Au1 Au 0.0016 0.7500 0.9980
```

Main lines, by intensity (2θ = 15–90°):
(1 2 1), d 3.500, 2θ 25.45, I 100.0
(3 2 -1), d 2.475, 2θ 36.29, I 52.5
(0 2 1), d 4.255, 2θ 20.88, I 26.5
(4 4 0), d 1.566, 2θ 59.00, I 25.2
(2 4 -2), d 2.041, 2θ 44.38, I 14.8
(4 0 0), d 2.001, 2θ 45.31, I 13.9
(0 4 0), d 2.512, 2θ 35.75, I 13.7
(2 4 2), d 1.750, 2θ 52.27, I 13.6
(2 0 -1), d 4.212, 2θ 21.09, I 13.2
(0 2 2), d 3.131, 2θ 28.51, I 13.0
(2 0 2), d 2.439, 2θ 36.85, I 12.5
(1 2 -2), d 3.228, 2θ 27.64, I 12.1


Simulated PXRD pattern of SmSi3Pt5 for a wavelength of 1.5418 Å, from a crystal structure in OQMD, relaxed with PBE.
Neutral-atom scattering factors, no anomalous dispersion.

Crystal structure
```
data_SmSi3Pt5
_cell_length_a 16.0255
_cell_length_b 16.0255
_cell_length_c 4.0065
_cell_angle_alpha 90.00
_cell_angle_beta 90.00
_cell_angle_gamma 120.00
_space_group_name_H-M_alt 'P 63/m'
_space_group_IT_number 176
_space_group_name_Hall '-P 6c'
loop_
_atom_site_label
_atom_site_type_symbol
_atom_site_fract_x
_atom_site_fract_y
_atom_site_fract_z
Sm1 Sm 0.0970 0.7064 0.2500
Si1 Si 0.0606 0.4338 0.2500
Si2 Si 0.1169 0.8681 0.7500
Si3 Si 0.2332 0.6820 0.7500
Pt1 Pt 0.0313 0.8840 0.2500
Pt2 Pt 0.0404 0.2756 0.2500
Pt3 Pt 0.0765 0.5424 0.7500
Pt4 Pt 0.1562 0.4117 0.7500
Pt5 Pt 0.2289 0.5655 0.2500
```

Main lines, by intensity (2θ = 15–90°):
(3 2 1), d 2.493, 2θ 36.03, I 100.0
(3 2 0), d 3.184, 2θ 28.02, I 37.5
(0 0 2), d 2.003, 2θ 45.27, I 25.7
(1 7 0), d 1.838, 2θ 49.59, I 15.4
(5 3 0), d 1.983, 2θ 45.76, I 15.3
(1 7 2), d 1.354, 2θ 69.39, I 11.7
(3 2 3), d 1.232, 2θ 77.51, I 11.5
(5 3 2), d 1.409, 2θ 66.33, I 10.9
(3 2 2), d 1.696, 2θ 54.09, I 8.4
(3 8 1), d 1.329, 2θ 70.89, I 8.3
(4 0 1), d 2.623, 2θ 34.19, I 8.3
(8 5 1), d 1.169, 2θ 82.54, I 7.8


Simulated PXRD pattern of SmGa3Pt for a wavelength of 1.5418 Å, from a crystal structure in OQMD, relaxed with PBE.
Neutral-atom scattering factors, no anomalous dispersion.

Crystal structure
```
data_SmGa3Pt
_cell_length_a 4.2943
_cell_length_b 4.2943
_cell_length_c 10.6742
_cell_angle_alpha 90.00
_cell_angle_beta 90.00
_cell_angle_gamma 90.00
_space_group_name_H-M_alt 'I 4 m m'
_space_group_IT_number 107
_space_group_name_Hall 'I 4 -2'
loop_
_atom_site_label
_atom_site_type_symbol
_atom_site_fract_x
_atom_site_fract_y
_atom_site_fract_z
Sm1 Sm 0.0000 0.0000 0.0000
Ga1 Ga 0.0000 0.0000 0.5893
Ga2 Ga 0.0000 0.5000 0.2388
Pt1 Pt 0.0000 0.0000 0.3601
```

Main lines, by intensity (2θ = 15–90°):
(1 0 3), d 2.740, 2θ 32.68, I 100.0
(1 1 2), d 2.639, 2θ 33.97, I 89.7
(2 0 0), d 2.147, 2θ 42.08, I 74.3
(2 1 3), d 1.690, 2θ 54.28, I 48.1
(1 1 0), d 3.037, 2θ 29.41, I 44.1
(1 0 5), d 1.912, 2θ 47.57, I 39.9
(1 0 1), d 3.984, 2θ 22.31, I 31.2
(2 1 5), d 1.428, 2θ 65.36, I 30.8
(1 1 4), d 2.004, 2θ 45.24, I 28.6
(2 2 0), d 1.518, 2θ 61.03, I 24.6
(3 1 2), d 1.316, 2θ 71.72, I 20.0
(1 1 6), d 1.535, 2θ 60.30, I 17.3


Simulated PXRD pattern of HfNbSnN for a wavelength of 1.5418 Å, from a crystal structure in OQMD, relaxed with PBE.
Neutral-atom scattering factors, no anomalous dispersion.

Crystal structure
```
data_HfNbSnN
_cell_length_a 3.2823
_cell_length_b 3.2823
_cell_length_c 14.0270
_cell_angle_alpha 90.00
_cell_angle_beta 90.00
_cell_angle_gamma 120.00
_space_group_name_H-M_alt 'P -3 m 1'
_space_group_IT_number 164
_space_group_name_Hall '-P 3 2"'
loop_
_atom_site_label
_atom_site_type_symbol
_atom_site_fract_x
_atom_site_fract_y
_atom_site_fract_z
Hf1 Hf 0.3333 0.6667 0.0875
Nb1 Nb 0.3333 0.6667 0.4217
Sn1 Sn 0.3333 0.6667 0.7427
N1 N 0.0000 0.0000 0.0000
N2 N 0.0000 0.0000 0.5000
```

Main lines, by intensity (2θ = 15–90°):
(0 1 3), d 2.429, 2θ 37.01, I 100.0
(1 0 0), d 2.843, 2θ 31.47, I 22.4
(1 1 0), d 1.641, 2θ 56.04, I 21.6
(1 1 6), d 1.343, 2θ 70.05, I 19.2
(0 0 6), d 2.338, 2θ 38.51, I 18.0
(2 0 3), d 1.360, 2θ 69.07, I 16.3
(0 1 9), d 1.367, 2θ 68.68, I 15.2
(1 0 6), d 1.806, 2θ 50.55, I 15.0
(0 1 2), d 2.634, 2θ 34.03, I 6.4
(0 2 6), d 1.214, 2θ 78.81, I 4.0
(1 0 8), d 1.492, 2θ 62.21, I 3.1
(0 0 5), d 2.805, 2θ 31.90, I 2.9


Simulated PXRD pattern of Zr2O5 for a wavelength of 1.5418 Å, from a crystal structure in OQMD, relaxed with PBE.
Neutral-atom scattering factors, no anomalous dispersion.

Crystal structure
```
data_Zr2O5
_cell_length_a 3.6801
_cell_length_b 4.2851
_cell_length_c 6.2786
_cell_angle_alpha 107.04
_cell_angle_beta 106.96
_cell_angle_gamma 90.05
_space_group_name_H-M_alt 'P 1'
_space_group_IT_number 1
_space_group_name_Hall 'P 1'
loop_
_atom_site_label
_atom_site_type_symbol
_atom_site_fract_x
_atom_site_fract_y
_atom_site_fract_z
Zr1 Zr 0.0000 0.0000 0.0000
Zr2 Zr 0.2903 0.4276 0.5810
O1 O 0.1236 0.4571 0.2471
O2 O 0.1639 0.9653 0.3294
O3 O 0.4284 0.1844 0.8565
O4 O 0.4741 0.7267 0.9486
O5 O 0.8194 0.6366 0.6390
```

Main lines, by intensity (2θ = 15–90°):
(0 1 -1), d 3.940, 2θ 22.57, I 100.0
(1 0 0), d 3.503, 2θ 25.43, I 87.6
(1 1 -1), d 2.790, 2θ 32.08, I 78.1
(0 1 1), d 2.923, 2θ 30.58, I 53.4
(1 1 -3), d 1.963, 2θ 46.24, I 36.9
(2 0 -1), d 1.840, 2θ 49.54, I 31.5
(1 2 0), d 1.695, 2θ 54.12, I 28.8
(1 2 -2), d 1.813, 2θ 50.33, I 28.0
(0 0 2), d 2.858, 2θ 31.30, I 27.1
(0 1 -2), d 2.774, 2θ 32.27, I 23.4
(1 0 -2), d 2.647, 2θ 33.86, I 23.1
(0 0 1), d 5.716, 2θ 15.50, I 20.9


Simulated PXRD pattern of Gd2Tl2PdPt3 for a wavelength of 1.5418 Å, from a crystal structure in OQMD, relaxed with PBE.
Neutral-atom scattering factors, no anomalous dispersion.

Crystal structure
```
data_Gd2Tl2PdPt3
_cell_length_a 4.6684
_cell_length_b 4.6684
_cell_length_c 9.0512
_cell_angle_alpha 90.00
_cell_angle_beta 90.00
_cell_angle_gamma 120.00
_space_group_name_H-M_alt 'P 3 m 1'
_space_group_IT_number 156
_space_group_name_Hall 'P 3 -2"'
loop_
_atom_site_label
_atom_site_type_symbol
_atom_site_fract_x
_atom_site_fract_y
_atom_site_fract_z
Gd1 Gd 0.0000 0.0000 0.0000
Gd2 Gd 0.3333 0.6667 0.4933
Tl1 Tl 0.6667 0.3333 0.2486
Tl2 Tl 0.6667 0.3333 0.7466
Pd1 Pd 0.0000 0.0000 0.6584
Pt1 Pt 0.0000 0.0000 0.3469
Pt2 Pt 0.3333 0.6667 0.1502
Pt3 Pt 0.3333 0.6667 0.8387
```

Main lines, by intensity (2θ = 15–90°):
(1 1 0), d 2.334, 2θ 38.57, I 100.0
(0 1 3), d 2.418, 2θ 37.18, I 81.7
(0 1 2), d 3.015, 2θ 29.63, I 39.8
(1 2 3), d 1.363, 2θ 68.88, I 27.2
(2 0 3), d 1.679, 2θ 54.65, I 27.2
(3 0 0), d 1.348, 2θ 69.78, I 18.5
(1 0 6), d 1.413, 2θ 66.11, I 16.5
(0 1 4), d 1.975, 2θ 45.96, I 16.2
(2 2 0), d 1.167, 2θ 82.68, I 12.3
(1 2 4), d 1.267, 2θ 74.99, I 11.5
(0 0 2), d 4.526, 2θ 19.62, I 11.4
(2 0 2), d 1.846, 2θ 49.38, I 10.5


Simulated PXRD pattern of Sm2Gd2O5 for a wavelength of 1.5418 Å, from a crystal structure in OQMD, relaxed with PBE.
Neutral-atom scattering factors, no anomalous dispersion.

Crystal structure
```
data_Sm2Gd2O5
_cell_length_a 3.9371
_cell_length_b 3.9371
_cell_length_c 9.6939
_cell_angle_alpha 90.00
_cell_angle_beta 90.00
_cell_angle_gamma 90.00
_space_group_name_H-M_alt 'P 4/m m m'
_space_group_IT_number 123
_space_group_name_Hall '-P 4 2'
loop_
_atom_site_label
_atom_site_type_symbol
_atom_site_fract_x
_atom_site_fract_y
_atom_site_fract_z
Sm1 Sm 0.0000 0.0000 0.0000
Sm2 Sm 0.0000 0.0000 0.5000
Gd1 Gd 0.5000 0.5000 0.2437
O1 O 0.0000 0.5000 0.1460
O2 O 0.5000 0.5000 0.5000
```

Main lines, by intensity (2θ = 15–90°):
(1 0 2), d 3.056, 2θ 29.22, I 100.0
(1 1 0), d 2.784, 2θ 32.15, I 34.7
(2 1 2), d 1.655, 2θ 55.53, I 33.6
(1 1 4), d 1.828, 2θ 49.89, I 29.4
(2 0 0), d 1.969, 2θ 46.11, I 19.3
(0 0 4), d 2.423, 2θ 37.10, I 12.1
(2 0 4), d 1.528, 2θ 60.60, I 12.0
(1 0 6), d 1.495, 2θ 62.10, I 11.7
(3 1 4), d 1.107, 2θ 88.24, I 11.4
(2 1 6), d 1.190, 2θ 80.72, I 11.2
(3 0 2), d 1.267, 2θ 74.97, I 6.9
(3 1 0), d 1.245, 2θ 76.52, I 6.1


Simulated PXRD pattern of HoTmGeC for a wavelength of 1.5418 Å, from a crystal structure in OQMD, relaxed with PBE.
Neutral-atom scattering factors, no anomalous dispersion.

Crystal structure
```
data_HoTmGeC
_cell_length_a 3.5499
_cell_length_b 3.5499
_cell_length_c 14.8253
_cell_angle_alpha 90.00
_cell_angle_beta 90.00
_cell_angle_gamma 120.00
_space_group_name_H-M_alt 'P -3 m 1'
_space_group_IT_number 164
_space_group_name_Hall '-P 3 2"'
loop_
_atom_site_label
_atom_site_type_symbol
_atom_site_fract_x
_atom_site_fract_y
_atom_site_fract_z
Ho1 Ho 0.3333 0.6667 0.0912
Tm1 Tm 0.3333 0.6667 0.4108
Ge1 Ge 0.3333 0.6667 0.7481
C1 C 0.0000 0.0000 0.0000
C2 C 0.0000 0.0000 0.5000
```

Main lines, by intensity (2θ = 15–90°):
(0 1 3), d 2.610, 2θ 34.35, I 100.0
(1 0 0), d 3.074, 2θ 29.05, I 23.4
(1 1 0), d 1.775, 2θ 51.49, I 22.5
(1 1 6), d 1.442, 2θ 64.66, I 19.7
(0 0 6), d 2.471, 2θ 36.36, I 17.3
(2 0 3), d 1.468, 2θ 63.37, I 17.0
(1 2 3), d 1.131, 2θ 85.93, I 15.0
(0 1 9), d 1.452, 2θ 64.14, I 14.6
(1 0 6), d 1.926, 2θ 47.19, I 14.4
(0 1 1), d 3.010, 2θ 29.68, I 9.3
(2 0 9), d 1.124, 2θ 86.62, I 6.6
(0 1 7), d 1.744, 2θ 52.47, I 5.3


Simulated PXRD pattern of Zr3Hg for a wavelength of 1.5418 Å, from a crystal structure in OQMD, relaxed with PBE.
Neutral-atom scattering factors, no anomalous dispersion.

Crystal structure
```
data_Zr3Hg
_cell_length_a 6.2560
_cell_length_b 6.2560
_cell_length_c 5.1929
_cell_angle_alpha 90.00
_cell_angle_beta 90.00
_cell_angle_gamma 120.00
_space_group_name_H-M_alt 'P 63/m m c'
_space_group_IT_number 194
_space_group_name_Hall '-P 6c 2c'
loop_
_atom_site_label
_atom_site_type_symbol
_atom_site_fract_x
_atom_site_fract_y
_atom_site_fract_z
Zr1 Zr 0.1683 0.3367 0.2500
Hg1 Hg 0.3333 0.6667 0.7500
```

Main lines, by intensity (2θ = 15–90°):
(2 0 1), d 2.402, 2θ 37.44, I 100.0
(0 0 2), d 2.596, 2θ 34.54, I 27.7
(2 0 0), d 2.709, 2θ 33.07, I 23.4
(2 0 3), d 1.459, 2θ 63.81, I 20.7
(2 2 2), d 1.340, 2θ 70.26, I 20.6
(2 2 0), d 1.564, 2θ 59.07, I 17.4
(2 0 2), d 1.874, 2θ 48.57, I 15.8
(1 0 1), d 3.749, 2θ 23.73, I 14.5
(4 0 1), d 1.311, 2θ 72.06, I 14.4
(1 1 0), d 3.128, 2θ 28.54, I 6.6
(1 0 0), d 5.418, 2θ 16.36, I 6.5
(2 1 1), d 1.905, 2θ 47.74, I 5.8


Simulated PXRD pattern of LaSmSi2Os2 for a wavelength of 1.5418 Å, from a crystal structure in OQMD, relaxed with PBE.
Neutral-atom scattering factors, no anomalous dispersion.

Crystal structure
```
data_LaSmSi2Os2
_cell_length_a 4.2268
_cell_length_b 4.2268
_cell_length_c 7.0226
_cell_angle_alpha 90.00
_cell_angle_beta 90.00
_cell_angle_gamma 90.00
_space_group_name_H-M_alt 'P 4 m m'
_space_group_IT_number 99
_space_group_name_Hall 'P 4 -2'
loop_
_atom_site_label
_atom_site_type_symbol
_atom_site_fract_x
_atom_site_fract_y
_atom_site_fract_z
La1 La 0.0000 0.0000 0.0000
Sm1 Sm 0.5000 0.5000 0.3567
Si1 Si 0.0000 0.0000 0.4937
Si2 Si 0.5000 0.5000 0.8463
Os1 Os 0.0000 0.5000 0.6695
```

Main lines, by intensity (2θ = 15–90°):
(1 1 1), d 2.750, 2θ 32.56, I 100.0
(1 1 2), d 2.276, 2θ 39.60, I 91.0
(2 0 0), d 2.113, 2θ 42.79, I 54.8
(1 0 1), d 3.621, 2θ 24.58, I 38.8
(1 0 2), d 2.701, 2θ 33.17, I 31.5
(2 0 3), d 1.569, 2θ 58.87, I 29.8
(3 1 2), d 1.249, 2θ 76.22, I 27.1
(0 0 3), d 2.341, 2θ 38.46, I 25.4
(3 1 1), d 1.313, 2θ 71.91, I 20.8
(2 2 0), d 1.494, 2θ 62.11, I 18.2
(1 1 4), d 1.514, 2θ 61.23, I 15.2
(2 1 2), d 1.664, 2θ 55.18, I 14.5


Simulated PXRD pattern of ZrIr2Pd for a wavelength of 1.5418 Å, from a crystal structure in OQMD, relaxed with PBE.
Neutral-atom scattering factors, no anomalous dispersion.

Crystal structure
```
data_ZrIr2Pd
_cell_length_a 6.4191
_cell_length_b 6.4191
_cell_length_c 6.4191
_cell_angle_alpha 90.00
_cell_angle_beta 90.00
_cell_angle_gamma 90.00
_space_group_name_H-M_alt 'F -4 3 m'
_space_group_IT_number 216
_space_group_name_Hall 'F -4 2 3'
loop_
_atom_site_label
_atom_site_type_symbol
_atom_site_fract_x
_atom_site_fract_y
_atom_site_fract_z
Zr1 Zr 0.0000 0.0000 0.0000
Ir1 Ir 0.0000 0.0000 0.5000
Ir2 Ir 0.2500 0.2500 0.2500
Pd1 Pd 0.2500 0.2500 0.7500
```

Main lines, by intensity (2θ = 15–90°):
(2 2 0), d 2.270, 2θ 39.72, I 100.0
(4 2 2), d 1.310, 2θ 72.08, I 34.5
(4 0 0), d 1.605, 2θ 57.42, I 17.0
(4 4 0), d 1.135, 2θ 85.59, I 11.2
(1 1 1), d 3.706, 2θ 24.01, I 10.9
(3 1 1), d 1.935, 2θ 46.95, I 6.1
(3 3 1), d 1.473, 2θ 63.13, I 2.6
(5 1 1), d 1.235, 2θ 77.22, I 2.0